For CsThSe, a PBE-relaxed structure gives the calculated XRD peak list in this record (Cu Kα).
Kinematic intensities with the Lorentz-polarization factor, no thermal factor.

Principal peaks in the range 2θ = 5–70°, in order of rising 2θ:
(hkl)  two_theta  d (Å)  intensity
0 0 1  6.69  13.210  100.0
0 0 3  20.16  4.404  12.0
0 1 2  23.41  3.800  5.9
-1 1 1  27.89  3.198  8.1
1 1 1  28.09  3.176  9.3
1 1 -2  30.20  2.959  18.4
1 -1 2  30.58  2.923  17.0
0 2 0  38.77  2.322  13.4
1 -1 5  44.33  2.043  5.2
2 -2 0  55.99  1.642  4.6

Cell and atoms:
```
data_CsThSe
_space_group_name_H-M_alt 'P -1'
_space_group_IT_number 2
_space_group_name_Hall '-P 1'
_cell_length_a 4.6454
_cell_length_b 4.6457
_cell_length_c 13.2129
_cell_angle_alpha 90.11
_cell_angle_beta 91.24
_cell_angle_gamma 90.00
loop_
_atom_site_label
_atom_site_type_symbol
_atom_site_fract_x
_atom_site_fract_y
_atom_site_fract_z
_atom_site_occupancy
Cs1 Cs 0.2316 0.2489 0.2005 1
Th1 Th 0.2500 0.7500 0.5000 1
Se1 Se 0.2599 0.2508 0.6594 1
```